Record 1
This entry pairs a crystal structure of LiNiPO4 with its calculated PXRD pattern. Radiation: λ = 1.5418 Å (Cu Kα). Structure: a crystal structure in the Materials Project, relaxed with GGA+U.

Principal peaks in the range 10° ≤ 2θ ≤ 80°, in order of rising 2θ:
2theta, I/Imax, h k l
17.42, 41.1, 0 2 0
20.73, 47.1, 1 1 0
25.68, 96.1, 1 1 1
30.22, 57.4, 0 0 2
35.95, 100.0, 1 3 1
52.84, 28.3, 2 2 2

Structure:
Cell lengths 4.724, 10.179, 5.915 Å; angles 90.00, 90.14, 90.00 degrees
Fractional coordinates of all 28 atoms:
Li: 0.245 0.000 0.249
Li: 0.249 0.005 0.746
Li: 0.751 0.505 0.254
Li: 0.755 0.500 0.751
Ni: 0.238 0.726 0.507
Ni: 0.262 0.277 0.995
Ni: 0.738 0.777 0.005
Ni: 0.762 0.226 0.493
P: 0.174 0.596 0.004
P: 0.330 0.406 0.497
P: 0.670 0.906 0.503
P: 0.826 0.096 0.996
O: 0.005 0.402 0.496
O: 0.032 0.669 0.798
O: 0.033 0.666 0.213
O: 0.053 0.454 0.998
O: 0.452 0.548 0.507
O: 0.469 0.331 0.702
O: 0.471 0.339 0.286
O: 0.499 0.600 0.005
O: 0.501 0.100 0.995
O: 0.529 0.839 0.714
O: 0.531 0.831 0.298
O: 0.548 0.048 0.493
O: 0.947 0.954 0.002
O: 0.967 0.166 0.787
O: 0.968 0.169 0.202
O: 0.995 0.902 0.504

---

Record 2
This entry pairs a crystal structure of LiNiPO4 with its calculated PXRD pattern. Radiation: λ = 1.5418 Å (Cu Kα). Structure: a crystal structure in the Materials Project, relaxed with GGA+U.

Principal peaks in the range 10° ≤ 2θ ≤ 80°, in order of rising 2θ:
2theta, I/Imax, h k l
15.54, 100.0, 0 1 1
21.84, 67.9, 1 -1 0
21.98, 66.2, 0 1 -2
23.98, 80.2, 1 1 1
36.15, 81.5, 0 0 4
36.29, 61.3, 2 0 0

Structure:
Cell lengths 4.951, 6.967, 9.934 Å; angles 90.02, 90.02, 91.04 degrees
Fractional coordinates of all 28 atoms:
Li: 0.198 0.007 0.159
Li: 0.302 0.493 0.659
Li: 0.698 0.507 0.341
Li: 0.802 0.993 0.841
Ni: 0.214 0.507 0.142
Ni: 0.287 0.993 0.642
Ni: 0.713 0.007 0.358
Ni: 0.786 0.493 0.858
P: 0.196 0.748 0.404
P: 0.303 0.752 0.904
P: 0.697 0.248 0.096
P: 0.804 0.252 0.596
O: 0.114 0.246 0.621
O: 0.179 0.558 0.850
O: 0.187 0.928 0.830
O: 0.238 0.766 0.057
O: 0.262 0.734 0.557
O: 0.313 0.573 0.330
O: 0.319 0.943 0.351
O: 0.387 0.254 0.121
O: 0.613 0.746 0.879
O: 0.681 0.057 0.649
O: 0.687 0.427 0.670
O: 0.738 0.266 0.443
O: 0.762 0.234 0.943
O: 0.813 0.072 0.170
O: 0.821 0.442 0.150
O: 0.886 0.754 0.379